Ca2MgCu3: theoretical powder diffractogram (Cu Kα (weighted mean of Kα1 and Kα2)), based on a crystal structure in Alexandria, relaxed with PBE.
Lines closer than 0.1° are merged.

Cell lengths 5.4581, 5.4581, 5.4581 Å; angles 61.56, 61.56, 61.56 degrees
Positions (direct):
Ca 0.1239 0.1239 0.1239
Ca 0.8761 0.8761 0.8761
Mg 0.5000 0.5000 0.5000
Cu 0.0000 0.5000 0.5000
Cu 0.5000 0.0000 0.5000
Cu 0.5000 0.5000 0.0000

Principal peaks in the range 10 to 80 degrees two-theta, by angle:
2θ (°), intensity
20.2, 42
32.8, 42
37.8, 100
38.2, 78
38.8, 39
39.7, 82
41.0, 24
46.5, 21
61.7, 18
62.4, 20
67.0, 28
68.8, 26

=====

AcGaH6: theoretical powder diffractogram (Cu Kα (weighted mean of Kα1 and Kα2)), based on a crystal structure in Alexandria, relaxed with PBE.
Lines closer than 0.1° are merged.

Cell lengths 4.4389, 4.4389, 4.4389 Å; angles 98.32, 98.32, 98.32 degrees
Positions (direct):
Ac 0.0000 0.0000 0.0000
Ga 0.5000 0.5000 0.5000
H 0.2126 0.2126 0.5633
H 0.2126 0.5633 0.2126
H 0.4367 0.7874 0.7874
H 0.5633 0.2126 0.2126
H 0.7874 0.4367 0.7874
H 0.7874 0.7874 0.4367

Principal peaks in the range 10 to 80 degrees two-theta, by angle:
2θ (°), intensity
20.5, 44
26.5, 100
31.6, 64
33.8, 13
41.7, 33
43.5, 15
46.9, 22
50.2, 46
54.7, 14
64.5, 21
72.5, 12
74.8, 11

=====

SrPr3Nd4Te8: theoretical powder diffractogram (Cu Kα (weighted mean of Kα1 and Kα2)), based on a crystal structure in Alexandria, relaxed with PBE.
Lines closer than 0.1° are merged.

Cell lengths 9.0672, 9.0672, 9.0672 Å; angles 60.07, 60.07, 60.07 degrees
Positions (direct):
Sr 0.0000 0.0000 0.0000
Pr 0.0000 0.5000 0.5000
Pr 0.5000 0.0000 0.5000
Pr 0.5000 0.5000 0.0000
Nd 0.0000 0.0000 0.5000
Nd 0.0000 0.5000 0.0000
Nd 0.5000 0.0000 0.0000
Nd 0.5000 0.5000 0.5000
Te 0.2492 0.2492 0.2492
Te 0.2503 0.7480 0.7480
Te 0.2520 0.2520 0.7497
Te 0.2520 0.7497 0.2520
Te 0.7480 0.2503 0.7480
Te 0.7480 0.7480 0.2503
Te 0.7497 0.2520 0.2520
Te 0.7508 0.7508 0.7508

Principal peaks in the range 10 to 80 degrees two-theta, by angle:
2θ (°), intensity
12.0, 1
27.8, 100
39.7, 77
49.2, 28
57.5, 13
65.0, 35
72.1, 20
72.2, 6

=====

Pm4Dy8Y: theoretical powder diffractogram (Cu Kα (weighted mean of Kα1 and Kα2)), based on a crystal structure in Alexandria, relaxed with PBE.
Lines closer than 0.1° are merged.

Cell lengths 9.9752, 9.9752, 9.9752 Å; angles 43.57, 43.57, 43.57 degrees
Positions (direct):
Pm 0.0000 0.0000 0.0000
Pm 0.0000 0.5000 0.5000
Pm 0.5000 0.0000 0.5000
Pm 0.5000 0.5000 0.0000
Dy 0.1894 0.7501 0.7501
Dy 0.2173 0.2173 0.2173
Dy 0.2499 0.2499 0.8106
Dy 0.2499 0.8106 0.2499
Dy 0.7501 0.1894 0.7501
Dy 0.7501 0.7501 0.1894
Dy 0.7827 0.7827 0.7827
Dy 0.8106 0.2499 0.2499
Y 0.5000 0.5000 0.5000

Principal peaks in the range 10 to 80 degrees two-theta, by angle:
2θ (°), intensity
28.0, 21
28.6, 10
29.7, 37
30.9, 100
32.5, 52
38.7, 25
49.2, 31
52.4, 19
55.5, 9
58.6, 27
59.2, 13
60.2, 8

=====

Ce2Th2Sc5: theoretical powder diffractogram (Cu Kα (weighted mean of Kα1 and Kα2)), based on a crystal structure in Alexandria, relaxed with PBE.
Lines closer than 0.1° are merged.

Cell lengths 3.4321, 8.4488, 8.8326 Å; angles 78.27, 89.80, 89.96 degrees
Positions (direct):
Ce 0.2353 0.3680 0.3742
Ce 0.7647 0.6320 0.6258
Th 0.2459 0.8675 0.8991
Th 0.7541 0.1325 0.1009
Sc 0.2171 0.2889 0.7800
Sc 0.2582 0.9292 0.3887
Sc 0.5000 0.5000 0.0000
Sc 0.7418 0.0708 0.6113
Sc 0.7829 0.7111 0.2200

Principal peaks in the range 10 to 80 degrees two-theta, by angle:
2θ (°), intensity
10.2, 26
16.3, 98
26.6, 60
29.2, 77
30.7, 49
32.0, 51
32.9, 64
33.3, 44
33.4, 59
33.9, 100
45.0, 25
59.8, 19

=====

MnTeH: theoretical powder diffractogram (Cu Kα (weighted mean of Kα1 and Kα2)), based on a crystal structure in Alexandria, relaxed with PBE.
Lines closer than 0.1° are merged.

Cell lengths 3.3191, 5.4747, 4.6025 Å; angles 90.00, 111.12, 90.00 degrees
Positions (direct):
Mn 0.0637 0.0000 0.1279
Mn 0.9363 0.5000 0.8721
Te 0.3518 0.1612 0.7036
Te 0.6482 0.6612 0.2964
H 0.0871 0.3088 0.1763
H 0.9129 0.8088 0.8237

Principal peaks in the range 10 to 80 degrees two-theta, by angle:
2θ (°), intensity
26.4, 74
32.7, 25
33.2, 100
41.7, 39
44.2, 40
45.0, 23
45.4, 19
54.0, 23
54.6, 23
55.4, 14
62.3, 13
63.3, 13

=====

K3Ac2F8: theoretical powder diffractogram (Cu Kα (weighted mean of Kα1 and Kα2)), based on a crystal structure in Alexandria, relaxed with PBE.
Lines closer than 0.1° are merged.

Cell lengths 7.7955, 7.7955, 4.3967 Å; angles 90.00, 90.00, 112.49 degrees
Positions (direct):
K 0.0000 0.0000 0.0000
K 0.2893 0.2893 0.5000
K 0.7107 0.7107 0.5000
Ac 0.2666 0.7334 0.0000
Ac 0.7334 0.2666 0.0000
F 0.0859 0.3758 0.0000
F 0.1375 0.8625 0.5000
F 0.3509 0.6491 0.5000
F 0.3758 0.0859 0.0000
F 0.6242 0.9141 0.0000
F 0.6491 0.3509 0.5000
F 0.8625 0.1375 0.5000
F 0.9141 0.6242 0.0000

Principal peaks in the range 10 to 80 degrees two-theta, by angle:
2θ (°), intensity
13.7, 95
20.2, 54
20.5, 56
24.5, 99
24.7, 91
28.9, 45
32.1, 34
40.4, 100
41.1, 29
41.7, 29
46.8, 27
48.5, 30

=====

Ho2Er3S6: theoretical powder diffractogram (Cu Kα (weighted mean of Kα1 and Kα2)), based on a crystal structure in Alexandria, relaxed with PBE.
Lines closer than 0.1° are merged.

Cell lengths 6.6938, 6.6938, 6.6816 Å; angles 99.64, 99.64, 119.80 degrees
Positions (direct):
Ho 0.1654 0.8346 0.0000
Ho 0.8346 0.1654 0.0000
Er 0.0000 0.0000 0.5000
Er 0.3368 0.6632 0.5000
Er 0.6632 0.3368 0.5000
S 0.0827 0.4160 0.7476
S 0.2511 0.2511 0.2473
S 0.4160 0.0827 0.7476
S 0.5840 0.9173 0.2524
S 0.7489 0.7489 0.7527
S 0.9173 0.5840 0.2524

Principal peaks in the range 10 to 80 degrees two-theta, by angle:
2θ (°), intensity
16.0, 9
28.2, 20
28.3, 53
32.8, 100
47.0, 36
47.1, 36
55.7, 9
55.8, 12
55.9, 14
58.5, 12
68.7, 11
78.3, 16